Computed X-ray powder pattern of FeH12PtCl6O6 for Cu Ka, from a PBE+U-relaxed structure.

Largest 10 diffraction maxima, sorted by position, 2θ = 10–90°:
two_theta, I (rel.)
12.48, 54.7
16.41, 100.0
18.89, 64.2
20.67, 18.9
30.15, 67.8
41.93, 27.5
44.36, 17.7
45.43, 14.7
48.51, 16.9
54.53, 15.9

```
FeH12PtCl6O6
1.0
5.403 3.119 3.622
-5.403 3.119 3.622
0.000 -6.239 3.622
Fe H Pt Cl O
1 12 1 6 6
Direct
0.000 0.000 0.000 Fe
0.048 0.370 0.175 H
0.162 0.716 0.810 H
0.175 0.048 0.370 H
0.190 0.838 0.284 H
0.284 0.190 0.838 H
0.370 0.175 0.048 H
0.630 0.825 0.952 H
0.716 0.810 0.162 H
0.810 0.162 0.716 H
0.825 0.952 0.630 H
0.838 0.284 0.190 H
0.952 0.630 0.825 H
0.500 0.500 0.500 Pt
0.229 0.323 0.573 Cl
0.323 0.573 0.229 Cl
0.427 0.771 0.677 Cl
0.573 0.229 0.323 Cl
0.677 0.427 0.771 Cl
0.771 0.677 0.427 Cl
0.058 0.726 0.885 O
0.115 0.942 0.274 O
0.274 0.115 0.942 O
0.726 0.885 0.058 O
0.885 0.058 0.726 O
0.942 0.274 0.115 O
```